No. 1
Starting from DFT lattice parameters and positions (PBE), the powder X-ray diffraction pattern of BaMg14Sn was simulated for Cu Kα X-rays.

Crystal structure
```
data_BaMg14Sn
_chemical_formula_sum 'Ba1 Mg14 Sn1'
_cell_length_a 6.5800
_cell_length_b 6.5800
_cell_length_c 10.7608
_cell_angle_alpha 90.00
_cell_angle_beta 90.00
_cell_angle_gamma 120.00
_space_group_name_H-M_alt 'P -6 m 2'
_space_group_IT_number 187
_space_group_name_Hall 'P -6 2'
loop_
_atom_site_label
_atom_site_fract_x
_atom_site_fract_y
_atom_site_fract_z
_atom_site_occupancy
Ba1 0.0000 0.0000 0.0000 1
Mg1 0.0120 0.5060 0.0000 1
Mg2 0.1720 0.3441 0.2619 1
Mg3 0.5023 0.0047 0.5000 1
Mg4 0.6667 0.3333 0.2426 1
Sn1 0.0000 0.0000 0.5000 1
```

Main lines, sorted by position (2θ from 10° to 90°):
15.6°, d 5.698, I = 48, hkl 1 0 0; 22.7°, d 3.912, I = 46, hkl 1 0 2; 31.4°, d 2.849, I = 30, hkl 2 0 0; 31.9°, d 2.807, I = 19, hkl 1 1 2; 33.3°, d 2.690, I = 25, hkl 0 0 4; 35.7°, d 2.518, I = 100, hkl 2 0 2; 46.4°, d 1.956, I = 20, hkl 2 0 4; 61.1°, d 1.517, I = 26, hkl 2 0 6; 66.6°, d 1.403, I = 19, hkl 2 2 4; 68.1°, d 1.377, I = 19, hkl 4 0 2


No. 2
Starting from DFT lattice parameters and positions (PBE), the powder X-ray diffraction pattern of CsPrHgSe3 was simulated for Cu Kα X-rays.

Crystal structure
```
data_CsPrHgSe3
_chemical_formula_sum 'Cs4 Pr4 Hg4 Se12'
_cell_length_a 4.4339
_cell_length_b 16.3854
_cell_length_c 11.4740
_cell_angle_alpha 90.00
_cell_angle_beta 90.00
_cell_angle_gamma 90.00
_space_group_name_H-M_alt 'C m c m'
_space_group_IT_number 63
_space_group_name_Hall '-C 2c 2'
loop_
_atom_site_label
_atom_site_fract_x
_atom_site_fract_y
_atom_site_fract_z
_atom_site_occupancy
Cs1 0.0000 0.2448 0.2500 1
Pr1 0.0000 0.5000 0.0000 1
Hg1 0.0000 0.0415 0.7500 1
Se1 0.0000 0.1214 0.5496 1
Se2 0.0000 0.4371 0.7500 1
```

Main lines, sorted by position (2θ from 10° to 90°):
10.8°, d 8.193, I = 84, hkl 0 2 0; 25.9°, d 3.434, I = 30, hkl 1 1 2; 27.0°, d 3.297, I = 100, hkl 1 3 1; 30.3°, d 2.952, I = 55, hkl 1 3 2; 31.2°, d 2.868, I = 43, hkl 0 0 4; 35.1°, d 2.559, I = 21, hkl 1 3 3; 37.6°, d 2.395, I = 35, hkl 1 5 2; 40.7°, d 2.217, I = 29, hkl 2 0 0; 47.6°, d 1.910, I = 35, hkl 1 3 5; 50.1°, d 1.820, I = 26, hkl 1 7 3


No. 3
Starting from DFT lattice parameters and positions (PBE), the powder X-ray diffraction pattern of MgNp3 was simulated for Cu Kα X-rays.

Crystal structure
```
data_MgNp3
_chemical_formula_sum 'Mg2 Np6'
_cell_length_a 4.3838
_cell_length_b 4.3838
_cell_length_c 8.5664
_cell_angle_alpha 90.00
_cell_angle_beta 90.00
_cell_angle_gamma 90.00
_space_group_name_H-M_alt 'I 4/m m m'
_space_group_IT_number 139
_space_group_name_Hall '-I 4 2'
loop_
_atom_site_label
_atom_site_fract_x
_atom_site_fract_y
_atom_site_fract_z
_atom_site_occupancy
Mg1 0.0000 0.0000 0.0000 1
Np1 0.0000 0.0000 0.5000 1
Np2 0.0000 0.5000 0.2500 1
```

Main lines, sorted by position (2θ from 10° to 90°):
20.7°, d 4.283, I = 8, hkl 0 0 2; 22.8°, d 3.902, I = 25, hkl 1 0 1; 35.8°, d 2.511, I = 100, hkl 1 1 2; 41.2°, d 2.192, I = 34, hkl 2 0 0; 42.2°, d 2.142, I = 16, hkl 0 0 4; 59.7°, d 1.550, I = 12, hkl 2 2 0; 60.4°, d 1.532, I = 23, hkl 2 0 4; 71.5°, d 1.319, I = 28, hkl 3 1 2; 73.0°, d 1.297, I = 13, hkl 1 1 6; 75.8°, d 1.256, I = 12, hkl 2 2 4


No. 4
Starting from DFT lattice parameters and positions (PBE), the powder X-ray diffraction pattern of RbP2Ir2 was simulated for Cu Kα X-rays.

Crystal structure
```
data_RbP2Ir2
_chemical_formula_sum 'Rb2 P4 Ir4'
_cell_length_a 3.9696
_cell_length_b 3.9696
_cell_length_c 13.8901
_cell_angle_alpha 90.00
_cell_angle_beta 90.00
_cell_angle_gamma 90.00
_space_group_name_H-M_alt 'I 4/m m m'
_space_group_IT_number 139
_space_group_name_Hall '-I 4 2'
loop_
_atom_site_label
_atom_site_fract_x
_atom_site_fract_y
_atom_site_fract_z
_atom_site_occupancy
Rb1 0.0000 0.0000 0.0000 1
P1 0.0000 0.0000 0.3426 1
Ir1 0.0000 0.5000 0.2500 1
```

Main lines, sorted by position (2θ from 10° to 90°):
12.7°, d 6.945, I = 100, hkl 0 0 2; 25.7°, d 3.473, I = 36, hkl 0 0 4; 34.5°, d 2.602, I = 73, hkl 1 1 2; 41.4°, d 2.183, I = 26, hkl 1 1 4; 45.7°, d 1.985, I = 24, hkl 2 0 0; 47.7°, d 1.908, I = 15, hkl 2 0 2; 51.1°, d 1.786, I = 33, hkl 1 1 6; 53.2°, d 1.723, I = 20, hkl 2 0 4; 77.2°, d 1.235, I = 15, hkl 3 1 2; 88.6°, d 1.104, I = 15, hkl 3 1 6


No. 5
Starting from DFT lattice parameters and positions (PBE), the powder X-ray diffraction pattern of Ba2Br2F was simulated for Cu Kα X-rays.

Crystal structure
```
data_Ba2Br2F
_chemical_formula_sum 'Ba2 Br2 F1'
_cell_length_a 6.6051
_cell_length_b 6.6051
_cell_length_c 14.7355
_cell_angle_alpha 90.00
_cell_angle_beta 90.00
_cell_angle_gamma 90.00
_space_group_name_H-M_alt 'P 4/m m m'
_space_group_IT_number 123
_space_group_name_Hall '-P 4 2'
loop_
_atom_site_label
_atom_site_fract_x
_atom_site_fract_y
_atom_site_fract_z
_atom_site_occupancy
Ba1 0.0000 0.0000 0.1686 1
Br1 0.0000 0.0000 0.3652 1
F1 0.0000 0.0000 0.0000 1
```

Main lines, sorted by position (2θ from 10° to 90°):
13.4°, d 6.605, I = 100, hkl 1 0 0; 18.0°, d 4.917, I = 11, hkl 1 0 2; 19.0°, d 4.671, I = 45, hkl 1 1 0; 27.0°, d 3.303, I = 19, hkl 2 0 0; 27.7°, d 3.217, I = 12, hkl 1 0 4; 30.3°, d 2.953, I = 30, hkl 2 1 0; 39.1°, d 2.303, I = 18, hkl 1 0 6; 41.0°, d 2.201, I = 10, hkl 3 0 0; 43.3°, d 2.088, I = 16, hkl 3 1 0; 48.2°, d 1.889, I = 11, hkl 2 1 6